Record 1
Simulated powder diffraction line list
Compound: Li3Ru2O6
Radiation: Cu Ka
Structure: a crystal structure in the Materials Project, relaxed with PBE
Intensities are scaled so that the largest is 100.

Principal peaks in the range 2θ = 15–90°, sorted by position:
h k l, 2θ (°), Rel. int.
0 2 0, 16.64, 54.8
1 1 -1, 19.46, 87.7
1 1 1, 26.73, 33.8
1 3 -1, 30.78, 100.0
2 0 0, 30.91, 47.5
0 0 2, 31.13, 47.6
3 3 -1, 51.33, 51.7
1 3 -3, 51.62, 51.8

Crystal structure
```
data_Li3Ru2O6
_chemical_formula_sum 'Li12 Ru8 O24'
_space_group_name_H-M_alt 'C 1 2/c 1'
_space_group_IT_number 15
_cell_length_a 6.1708
_cell_length_b 10.6571
_cell_length_c 6.1288
_cell_angle_alpha 90.00
_cell_angle_beta 110.35
_cell_angle_gamma 90.00
loop_
_space_group_symop_operation_xyz
'x,y,z'
'-x,-y,-z'
'-x,y,-z+1/2'
'x,-y,z+1/2'
'x+1/2,y+1/2,z'
'-x+1/2,-y+1/2,-z'
'-x+1/2,y+1/2,-z+1/2'
'x+1/2,-y+1/2,z+1/2'
loop_
_atom_site_label
_atom_site_fract_x
_atom_site_fract_y
_atom_site_fract_z
_atom_site_occupancy
Li1 0.0000 0.1045 0.2500 1
Li2 0.0000 0.2470 0.7500 1
Li3 0.2500 0.2500 0.5000 1
Ru1 0.2405 0.4170 0.0010 1
O1 0.1180 0.0760 0.6296 1
O2 0.1188 0.4221 0.6314 1
O3 0.1354 0.2454 0.1152 1
```

Record 2
Simulated powder diffraction line list
Compound: Li11Ru8O24
Radiation: Cu Ka
Structure: a crystal structure in the Materials Project, relaxed with PBE
Intensities are scaled so that the largest is 100.

Principal peaks in the range 2θ = 15–90°, sorted by position:
h k l, 2θ (°), Rel. int.
0 0 2, 18.09, 100.0
1 -1 0, 19.94, 32.4
0 2 -1, 21.08, 19.4
1 1 -1, 21.26, 16.5
0 2 1, 23.73, 27.6
1 -3 3, 42.85, 26.2
2 0 -3, 43.25, 25.9
1 3 2, 43.80, 21.8

Crystal structure
```
data_Li11Ru8O24
_chemical_formula_sum 'Li11 Ru8 O24'
_space_group_name_H-M_alt 'P 1'
_space_group_IT_number 1
_cell_length_a 5.0924
_cell_length_b 8.7802
_cell_length_c 9.9585
_cell_angle_alpha 98.75
_cell_angle_beta 94.62
_cell_angle_gamma 91.46
loop_
_space_group_symop_operation_xyz
'x,y,z'
loop_
_atom_site_label
_atom_site_fract_x
_atom_site_fract_y
_atom_site_fract_z
_atom_site_occupancy
Li1 0.0000 0.0000 0.0000 1
Li2 0.0068 0.3299 0.9971 1
Li3 0.2269 0.9323 0.4967 1
Li4 0.2621 0.5541 0.4914 1
Li5 0.4628 0.1805 0.0004 1
Li6 0.4968 0.5029 0.9953 1
Li7 0.5056 0.8293 0.9976 1
Li8 0.7203 0.4221 0.4989 1
Li9 0.7314 0.7548 0.4981 1
Li10 0.7979 0.0910 0.5050 1
Li11 0.9610 0.6796 0.9933 1
Ru1 0.1145 0.4665 0.7475 1
Ru2 0.1168 0.7892 0.7456 1
Ru3 0.3361 0.7024 0.2455 1
Ru4 0.3913 0.0537 0.2513 1
Ru5 0.6068 0.2728 0.7468 1
Ru6 0.6191 0.9775 0.7498 1
Ru7 0.8484 0.2060 0.2483 1
Ru8 0.8940 0.5577 0.2466 1
O1 0.0187 0.3997 0.3525 1
O2 0.0721 0.0741 0.3512 1
O3 0.0730 0.7262 0.3808 1
O4 0.1586 0.5331 0.1121 1
O5 0.1685 0.1790 0.1361 1
O6 0.2073 0.8608 0.1351 1
O7 0.2694 0.6520 0.8744 1
O8 0.3140 0.3263 0.8640 1
O9 0.3184 0.9696 0.8637 1
O10 0.4207 0.4237 0.6437 1
O11 0.4221 0.7920 0.6366 1
O12 0.4548 0.0976 0.6170 1
O13 0.5194 0.8937 0.3574 1
O14 0.5710 0.5772 0.3578 1
O15 0.5852 0.2191 0.3799 1
O16 0.6567 0.6808 0.1338 1
O17 0.6604 0.0357 0.1157 1
O18 0.7153 0.3629 0.1377 1
O19 0.7811 0.1533 0.8821 1
O20 0.8115 0.4601 0.8587 1
O21 0.8148 0.8296 0.8606 1
O22 0.9050 0.2892 0.6415 1
O23 0.9178 0.9318 0.6317 1
O24 0.9643 0.6010 0.6183 1
```

Record 3
Simulated powder diffraction line list
Compound: Li3RuO4
Radiation: Cu Ka
Structure: a crystal structure in the Materials Project, relaxed with PBE
Intensities are scaled so that the largest is 100.

Principal peaks in the range 2θ = 15–90°, sorted by position:
h k l, 2θ (°), Rel. int.
1 0 0, 18.23, 100.0
1 1 0, 23.63, 39.7
0 1 1, 23.77, 61.5
1 1 -1, 25.87, 52.0
1 1 1, 33.89, 20.6
1 0 -2, 35.48, 46.2
2 0 -2, 42.80, 31.3
1 2 1, 43.19, 59.5

Crystal structure
```
data_Li3RuO4
_chemical_formula_sum 'Li6 Ru2 O8'
_space_group_name_H-M_alt 'P 1 2/c 1'
_space_group_IT_number 13
_cell_length_a 5.1821
_cell_length_b 5.9407
_cell_length_c 5.1310
_cell_angle_alpha 90.00
_cell_angle_beta 110.08
_cell_angle_gamma 90.00
loop_
_space_group_symop_operation_xyz
'x,y,z'
'-x,-y,-z'
'-x,y,-z+1/2'
'x,-y,z+1/2'
loop_
_atom_site_label
_atom_site_fract_x
_atom_site_fract_y
_atom_site_fract_z
_atom_site_occupancy
Li1 0.0000 0.1090 0.2500 1
Li2 0.0000 0.3676 0.7500 1
Li3 0.5000 0.1213 0.7500 1
Ru1 0.5000 0.3573 0.2500 1
O1 0.2583 0.1398 0.0177 1
O2 0.2731 0.3868 0.4951 1
```

Record 4
Simulated powder diffraction line list
Compound: Li2RuO3
Radiation: Cu Ka
Structure: a crystal structure in the Materials Project, relaxed with PBE
Intensities are scaled so that the largest is 100.

Principal peaks in the range 2θ = 15–90°, sorted by position:
h k l, 2θ (°), Rel. int.
0 0 1, 18.04, 100.0
1 1 0, 20.96, 34.2
1 1 -1, 23.45, 25.8
2 0 -1, 35.68, 47.2
1 3 1, 43.09, 75.3
1 3 -2, 47.07, 19.1
2 0 2, 62.10, 22.5
0 6 0, 63.05, 21.5

Crystal structure
```
data_Li2RuO3
_chemical_formula_sum 'Li8 Ru4 O12'
_space_group_name_H-M_alt 'C 1 2/m 1'
_space_group_IT_number 12
_cell_length_a 5.1109
_cell_length_b 8.8403
_cell_length_c 5.2024
_cell_angle_alpha 90.00
_cell_angle_beta 109.10
_cell_angle_gamma 90.00
loop_
_space_group_symop_operation_xyz
'x,y,z'
'-x,-y,-z'
'-x,y,-z'
'x,-y,z'
'x+1/2,y+1/2,z'
'-x+1/2,-y+1/2,-z'
'-x+1/2,y+1/2,-z'
'x+1/2,-y+1/2,z'
loop_
_atom_site_label
_atom_site_fract_x
_atom_site_fract_y
_atom_site_fract_z
_atom_site_occupancy
Li1 0.0000 0.0000 0.0000 1
Li2 0.0000 0.1608 0.5000 1
Li3 0.0000 0.5000 0.5000 1
Ru1 0.0000 0.3335 0.0000 1
O1 0.2352 0.5000 0.2383 1
O2 0.2504 0.1721 0.2356 1
```

Record 5
Simulated powder diffraction line list
Compound: LiRuO3
Radiation: Cu Ka
Structure: a crystal structure in the Materials Project, relaxed with PBE
Intensities are scaled so that the largest is 100.

Principal peaks in the range 2θ = 15–90°, sorted by position:
h k l, 2θ (°), Rel. int.
1 0 0, 23.19, 100.0
1 1 0, 33.03, 49.5
2 0 0, 47.42, 24.9
2 1 0, 53.43, 37.1
2 1 1, 59.00, 19.5
2 2 0, 69.31, 14.0
3 0 0, 74.19, 16.4
3 1 0, 78.95, 8.5

Crystal structure
```
data_LiRuO3
_chemical_formula_sum 'Li1 Ru1 O3'
_space_group_name_H-M_alt 'P m -3 m'
_space_group_IT_number 221
_space_group_name_Hall '-P 4 2 3'
_cell_length_a 3.8348
_cell_length_b 3.8348
_cell_length_c 3.8348
_cell_angle_alpha 90.00
_cell_angle_beta 90.00
_cell_angle_gamma 90.00
loop_
_atom_site_label
_atom_site_fract_x
_atom_site_fract_y
_atom_site_fract_z
_atom_site_occupancy
Li1 0.0000 0.0000 0.0000 1
Ru1 0.5000 0.5000 0.5000 1
O1 0.0000 0.5000 0.5000 1
```

Which formula does entry 2 have?
Li11Ru8O24